[1]
Calculated powder diffraction line list
Compound: BaSrZn5
Radiation: CuKα
Structure: a cell relaxed with GGA-PBE

Largest 10 diffraction maxima, sorted by position, 5° ≤ 2θ ≤ 70°:
2θ 29.0, I 69.3
2θ 31.1, I 100.0
2θ 34.0, I 44.0
2θ 34.8, I 23.2
2θ 35.0, I 25.4
2θ 37.8, I 23.7
2θ 39.7, I 26.1
2θ 46.1, I 18.2
2θ 52.7, I 21.5
2θ 54.7, I 17.5

Atomic structure:
```
data_BaSrZn5
_cell_length_a 10.256
_cell_length_b 6.164
_cell_length_c 10.654
_cell_angle_alpha 90.00
_cell_angle_beta 90.00
_cell_angle_gamma 90.00
_symmetry_space_group_name_H-M 'P 1'
_symmetry_Int_Tables_number 1
loop_
_symmetry_equiv_pos_as_xyz
'x,y,z'
loop_
_atom_site_label
_atom_site_type_symbol
_atom_site_fract_x
_atom_site_fract_y
_atom_site_fract_z
_atom_site_occupancy
Ba1 Ba 0.233 0.250 0.073 1
Ba2 Ba 0.267 0.750 0.573 1
Ba3 Ba 0.733 0.250 0.427 1
Ba4 Ba 0.767 0.750 0.927 1
Sr1 Sr 0.119 0.250 0.405 1
Sr2 Sr 0.381 0.750 0.905 1
Sr3 Sr 0.619 0.250 0.095 1
Sr4 Sr 0.881 0.750 0.595 1
Zn1 Zn 0.023 0.750 0.317 1
Zn2 Zn 0.078 0.544 0.835 1
Zn3 Zn 0.078 0.956 0.835 1
Zn4 Zn 0.081 0.750 0.060 1
Zn5 Zn 0.236 0.250 0.740 1
Zn6 Zn 0.264 0.750 0.240 1
Zn7 Zn 0.419 0.250 0.560 1
Zn8 Zn 0.422 0.044 0.335 1
Zn9 Zn 0.422 0.456 0.335 1
Zn10 Zn 0.477 0.250 0.817 1
Zn11 Zn 0.523 0.750 0.183 1
Zn12 Zn 0.578 0.544 0.665 1
Zn13 Zn 0.578 0.956 0.665 1
Zn14 Zn 0.581 0.750 0.440 1
Zn15 Zn 0.736 0.250 0.760 1
Zn16 Zn 0.764 0.750 0.260 1
Zn17 Zn 0.919 0.250 0.940 1
Zn18 Zn 0.922 0.044 0.165 1
Zn19 Zn 0.922 0.456 0.165 1
Zn20 Zn 0.977 0.250 0.683 1
```

[2]
Calculated powder diffraction line list
Compound: KReW2
Radiation: CuKα
Structure: a cell relaxed with GGA-PBE

Largest 10 diffraction maxima, sorted by position, 5° ≤ 2θ ≤ 70°:
2θ 8.4, I 100.0
2θ 34.2, I 11.4
2θ 38.7, I 60.2
2θ 39.7, I 16.9
2θ 40.6, I 5.3
2θ 43.1, I 9.8
2θ 43.4, I 26.2
2θ 53.3, I 6.4
2θ 58.4, I 5.5
2θ 60.0, I 7.5

Atomic structure:
```
data_KReW2
_cell_length_a 3.162
_cell_length_b 4.542
_cell_length_c 10.497
_cell_angle_alpha 90.00
_cell_angle_beta 90.00
_cell_angle_gamma 90.00
_symmetry_space_group_name_H-M 'P 1'
_symmetry_Int_Tables_number 1
loop_
_symmetry_equiv_pos_as_xyz
'x,y,z'
loop_
_atom_site_label
_atom_site_type_symbol
_atom_site_fract_x
_atom_site_fract_y
_atom_site_fract_z
_atom_site_occupancy
K1 K 0.000 0.000 0.000 1
K2 K 0.500 0.500 0.000 1
Re1 Re 0.000 0.500 0.717 1
Re2 Re 0.500 0.000 0.717 1
W1 W 0.000 0.000 0.513 1
W2 W 0.000 0.500 0.303 1
W3 W 0.500 0.000 0.303 1
W4 W 0.500 0.500 0.513 1
```

[3]
Calculated powder diffraction line list
Compound: Sm2PuTcN4
Radiation: CuKα
Structure: a cell relaxed with GGA-PBE

Largest 10 diffraction maxima, sorted by position, 5° ≤ 2θ ≤ 70°:
2θ 27.0, I 53.2
2θ 29.9, I 45.4
2θ 30.3, I 61.6
2θ 30.9, I 100.0
2θ 35.4, I 20.6
2θ 37.8, I 91.0
2θ 43.1, I 33.1
2θ 46.9, I 23.2
2θ 49.2, I 23.8
2θ 63.4, I 20.9

Atomic structure:
```
data_Sm2PuTcN4
_cell_length_a 6.148
_cell_length_b 6.148
_cell_length_c 11.940
_cell_angle_alpha 90.00
_cell_angle_beta 90.00
_cell_angle_gamma 147.47
_symmetry_space_group_name_H-M 'P 1'
_symmetry_Int_Tables_number 1
loop_
_symmetry_equiv_pos_as_xyz
'x,y,z'
loop_
_atom_site_label
_atom_site_type_symbol
_atom_site_fract_x
_atom_site_fract_y
_atom_site_fract_z
_atom_site_occupancy
Sm1 Sm 0.132 0.868 0.541 1
Sm2 Sm 0.132 0.868 0.959 1
Sm3 Sm 0.868 0.132 0.041 1
Sm4 Sm 0.868 0.132 0.459 1
Pu1 Pu 0.377 0.623 0.750 1
Pu2 Pu 0.623 0.377 0.250 1
Tc1 Tc 0.357 0.643 0.250 1
Tc2 Tc 0.643 0.357 0.750 1
N1 N 0.059 0.941 0.750 1
N2 N 0.230 0.770 0.136 1
N3 N 0.230 0.770 0.364 1
N4 N 0.500 0.500 0.000 1
N5 N 0.500 0.500 0.500 1
N6 N 0.770 0.230 0.636 1
N7 N 0.770 0.230 0.864 1
N8 N 0.941 0.059 0.250 1
```